# 1
Diffraction record for K2TlZnF6. The X-ray diffraction stick pattern is computed, not measured: it uses a structure optimized by DFT (PBE) and Cu Ka.
No peak broadening, texture or thermal motion is included.

Crystal structure
```
data_K2TlZnF6
_cell_length_a 6.146
_cell_length_b 8.823
_cell_length_c 6.380
_cell_angle_alpha 90.00
_cell_angle_beta 90.00
_cell_angle_gamma 90.00
_space_group_name_H-M_alt 'P m m n'
_space_group_IT_number 59
loop_
_space_group_symop_operation_xyz
'x,y,z'
'-x,-y,-z'
'-x+1/2,-y+1/2,z'
'x+1/2,y+1/2,-z'
'x+1/2,-y,-z'
'-x+1/2,y,z'
'-x,y+1/2,-z'
'x,-y+1/2,z'
loop_
_atom_site_label
_atom_site_type_symbol
_atom_site_fract_x
_atom_site_fract_y
_atom_site_fract_z
K1 K 0.250 0.014 0.220
Tl1 Tl 0.250 0.250 0.727
Zn1 Zn 0.250 0.750 0.768
F1 F 0.008 0.750 0.551
F2 F 0.017 0.750 0.000
F3 F 0.250 0.518 0.777
```

Most intense lines, 2θ from 10° to 90°, sorted by position:
2θ = 17.6°, I 24; 2θ = 20.1°, I 95; 2θ = 28.0°, I 25; 2θ = 28.6°, I 100; 2θ = 29.1°, I 25; 2θ = 40.8°, I 39; 2θ = 45.9°, I 29; 2θ = 59.1°, I 23


# 2
Diffraction record for KTmF4. The X-ray diffraction stick pattern is computed, not measured: it uses a structure optimized by DFT (PBE) and Cu Ka.
No peak broadening, texture or thermal motion is included.

Crystal structure
```
data_KTmF4
_cell_length_a 6.064
_cell_length_b 3.560
_cell_length_c 15.508
_cell_angle_alpha 90.00
_cell_angle_beta 90.00
_cell_angle_gamma 90.00
_space_group_name_H-M_alt 'P n m a'
_space_group_IT_number 62
loop_
_space_group_symop_operation_xyz
'x,y,z'
'-x,-y,-z'
'-x+1/2,-y,z+1/2'
'x+1/2,y,-z+1/2'
'x+1/2,-y+1/2,-z+1/2'
'-x+1/2,y+1/2,z+1/2'
'-x,y+1/2,-z'
'x,-y+1/2,z'
loop_
_atom_site_label
_atom_site_type_symbol
_atom_site_fract_x
_atom_site_fract_y
_atom_site_fract_z
K1 K 0.225 0.250 0.201
Tm1 Tm 0.250 0.250 0.942
F1 F 0.004 0.250 0.056
F2 F 0.097 0.250 0.815
F3 F 0.109 0.250 0.371
F4 F 0.132 0.250 0.536
```

Most intense lines, 2θ from 10° to 90°, sorted by position:
2θ = 11.4°, I 100; 2θ = 18.6°, I 60; 2θ = 27.3°, I 74; 2θ = 29.5°, I 30; 2θ = 29.7°, I 84; 2θ = 30.5°, I 38; 2θ = 42.9°, I 51; 2θ = 49.2°, I 30


# 3
Diffraction record for KTmZn2F8. The X-ray diffraction stick pattern is computed, not measured: it uses a structure optimized by DFT (PBE) and Cu Ka.
No peak broadening, texture or thermal motion is included.

Crystal structure
```
data_KTmZn2F8
_cell_length_a 5.2437
_cell_length_b 5.2437
_cell_length_c 25.0181
_cell_angle_alpha 90.00
_cell_angle_beta 90.00
_cell_angle_gamma 120.00
_space_group_name_H-M_alt 'R 3 2'
_space_group_IT_number 155
_space_group_name_Hall 'R 3 2"'
loop_
_atom_site_label
_atom_site_type_symbol
_atom_site_fract_x
_atom_site_fract_y
_atom_site_fract_z
K1 K 0.0000 0.0000 0.0000
Tm1 Tm 0.0000 0.0000 0.5000
Zn1 Zn 0.0000 0.0000 0.2551
F1 F 0.0000 0.0000 0.3293
F2 F 0.0074 0.3220 0.4454
```

Most intense lines, 2θ from 10° to 90°, sorted by position:
2θ = 10.6°, I 33; 2θ = 19.9°, I 34; 2θ = 24.2°, I 100; 2θ = 26.5°, I 20; 2θ = 34.2°, I 43; 2θ = 34.8°, I 34; 2θ = 42.3°, I 21; 2θ = 56.4°, I 27


# 4
Diffraction record for KU2F11. The X-ray diffraction stick pattern is computed, not measured: it uses a structure optimized by DFT (PBE) and Cu Ka.
No peak broadening, texture or thermal motion is included.

Crystal structure
```
data_KU2F11
_cell_length_a 9.328
_cell_length_b 10.358
_cell_length_c 11.917
_cell_angle_alpha 90.00
_cell_angle_beta 90.00
_cell_angle_gamma 90.00
_space_group_name_H-M_alt 'I b a m'
_space_group_IT_number 72
_space_group_name_Hall '-I 2 2c'
loop_
_atom_site_label
_atom_site_type_symbol
_atom_site_fract_x
_atom_site_fract_y
_atom_site_fract_z
K1 K 0.000 0.000 0.250
U1 U 0.158 0.332 0.000
F1 F 0.000 0.500 0.000
F2 F 0.071 0.220 0.126
F3 F 0.169 0.292 0.500
F4 F 0.237 0.062 0.378
```

Most intense lines, 2θ from 10° to 90°, sorted by position:
2θ = 14.9°, I 100; 2θ = 19.6°, I 35; 2θ = 21.0°, I 94; 2θ = 22.2°, I 96; 2θ = 22.8°, I 27; 2θ = 30.0°, I 50; 2θ = 30.8°, I 26; 2θ = 41.9°, I 40


# 5
Diffraction record for K3UF3. The X-ray diffraction stick pattern is computed, not measured: it uses a structure optimized by DFT (PBE) and Cu Ka.
No peak broadening, texture or thermal motion is included.

Crystal structure
```
data_K3UF3
_cell_length_a 6.424
_cell_length_b 6.427
_cell_length_c 7.267
_cell_angle_alpha 114.09
_cell_angle_beta 114.24
_cell_angle_gamma 92.84
_space_group_name_H-M_alt 'P 1'
_space_group_IT_number 1
loop_
_space_group_symop_operation_xyz
'x,y,z'
loop_
_atom_site_label
_atom_site_type_symbol
_atom_site_fract_x
_atom_site_fract_y
_atom_site_fract_z
K1 K 0.000 0.000 0.000
K2 K 0.267 0.738 0.518
K3 K 0.720 0.293 0.502
U1 U 0.459 0.517 0.986
F1 F 0.149 0.618 0.804
F2 F 0.370 0.399 0.202
F3 F 0.635 0.627 0.820
```

Most intense lines, 2θ from 10° to 90°, sorted by position:
2θ = 15.2°, I 43; 2θ = 15.7°, I 100; 2θ = 15.8°, I 46; 2θ = 19.1°, I 26; 2θ = 24.4°, I 83; 2θ = 25.0°, I 40; 2θ = 25.5°, I 34; 2θ = 27.8°, I 40


# 6
Diffraction record for KUF6. The X-ray diffraction stick pattern is computed, not measured: it uses a structure optimized by DFT (PBE) and Cu Ka.
No peak broadening, texture or thermal motion is included.

Crystal structure
```
data_KUF6
_cell_length_a 5.9622
_cell_length_b 5.9622
_cell_length_c 11.7648
_cell_angle_alpha 90.00
_cell_angle_beta 90.00
_cell_angle_gamma 120.00
_space_group_name_H-M_alt 'P -3 1 c'
_space_group_IT_number 163
_space_group_name_Hall '-P 3 2c'
loop_
_atom_site_label
_atom_site_type_symbol
_atom_site_fract_x
_atom_site_fract_y
_atom_site_fract_z
K1 K 0.3333 0.6667 0.2500
U1 U 0.0000 0.0000 0.0000
F1 F 0.0230 0.2945 0.1044
```

Most intense lines, 2θ from 10° to 90°, sorted by position:
2θ = 15.1°, I 31; 2θ = 17.2°, I 79; 2θ = 22.9°, I 100; 2θ = 33.7°, I 22; 2θ = 35.1°, I 19; 2θ = 38.1°, I 24; 2θ = 43.2°, I 29; 2θ = 49.2°, I 25


# 7
Diffraction record for K2UZn3F12. The X-ray diffraction stick pattern is computed, not measured: it uses a structure optimized by DFT (PBE) and Cu Ka.
No peak broadening, texture or thermal motion is included.

Crystal structure
```
data_K2UZn3F12
_cell_length_a 7.5219
_cell_length_b 7.5219
_cell_length_c 16.8835
_cell_angle_alpha 90.00
_cell_angle_beta 90.00
_cell_angle_gamma 120.00
_space_group_name_H-M_alt 'R -3 m'
_space_group_IT_number 166
_space_group_name_Hall '-R 3 2"'
loop_
_atom_site_label
_atom_site_type_symbol
_atom_site_fract_x
_atom_site_fract_y
_atom_site_fract_z
K1 K 0.0000 0.0000 0.1128
U1 U 0.0000 0.0000 0.5000
Zn1 Zn 0.0000 0.5000 0.0000
F1 F 0.0047 0.5023 0.8749
F2 F 0.0806 0.5403 0.3075
```

Most intense lines, 2θ from 10° to 90°, sorted by position:
2θ = 14.6°, I 100; 2θ = 17.2°, I 25; 2θ = 28.5°, I 56; 2θ = 29.4°, I 35; 2θ = 29.8°, I 22; 2θ = 31.8°, I 15; 2θ = 44.7°, I 20; 2θ = 48.4°, I 27